Record 1
# Li6Mo2O7
Simulated X-ray diffraction stick pattern, Cu Ka. Input: DFT lattice parameters and positions (PBE+U).
No peak broadening, texture or thermal motion is included.

Atomic structure:
Cell: 6.173 8.514 5.974 Å, 90.00 90.00 90.00°
Element x y z (fractional)
Li: 0.000 0.000 0.000
Li: 0.000 0.000 0.406
Li: 0.000 0.500 0.933
Li: 0.250 0.236 0.194
Li: 0.250 0.269 0.733
Li: 0.250 0.731 0.698
Li: 0.500 0.000 0.000
Li: 0.500 0.000 0.406
Li: 0.500 0.500 0.933
Li: 0.750 0.269 0.698
Li: 0.750 0.731 0.733
Li: 0.750 0.764 0.194
Mo: 0.000 0.500 0.448
Mo: 0.250 0.762 0.177
Mo: 0.500 0.500 0.448
Mo: 0.750 0.238 0.177
O: 0.015 0.767 0.956
O: 0.020 0.757 0.433
O: 0.250 0.496 0.692
O: 0.250 0.513 0.188
O: 0.250 0.994 0.201
O: 0.480 0.757 0.433
O: 0.485 0.767 0.956
O: 0.515 0.233 0.956
O: 0.520 0.243 0.433
O: 0.750 0.006 0.201
O: 0.750 0.487 0.188
O: 0.750 0.504 0.692
O: 0.980 0.243 0.433
O: 0.985 0.233 0.956

Principal peaks in the range 2θ = 15–90°, most intense first:
- 2θ = 42.10°, rel. 100
- 2θ = 17.75°, rel. 90
- 2θ = 23.20°, rel. 83
- 2θ = 18.14°, rel. 82
- 2θ = 25.70°, rel. 61
- 2θ = 61.34°, rel. 54
- 2θ = 42.47°, rel. 48
- 2θ = 32.66°, rel. 41
- 2θ = 35.00°, rel. 35
- 2θ = 34.36°, rel. 31

Record 2
# Li4MoO5
Simulated X-ray diffraction stick pattern, Cu Ka. Input: DFT lattice parameters and positions (PBE+U).
No peak broadening, texture or thermal motion is included.

Atomic structure:
Cell: 5.132 5.132 5.132 Å, 99.99 99.99 130.76°
Element x y z (fractional)
Li: 0.096 0.314 0.410
Li: 0.314 0.904 0.218
Li: 0.686 0.096 0.782
Li: 0.904 0.686 0.590
Mo: 0.451 0.451 0.000
O: 0.020 0.020 0.000
O: 0.240 0.602 0.813
O: 0.428 0.240 0.638
O: 0.602 0.790 0.362
O: 0.790 0.428 0.187

Principal peaks in the range 2θ = 15–90°, most intense first:
- 2θ = 24.81°, rel. 100
- 2θ = 19.02°, rel. 94
- 2θ = 43.37°, rel. 46
- 2θ = 27.03°, rel. 36
- 2θ = 37.02°, rel. 32
- 2θ = 62.17°, rel. 25
- 2θ = 42.27°, rel. 19
- 2θ = 54.54°, rel. 17
- 2θ = 46.74°, rel. 16
- 2θ = 61.91°, rel. 15

Record 3
# Li4Mo3O8
Simulated X-ray diffraction stick pattern, Cu Ka. Input: DFT lattice parameters and positions (PBE+U).
No peak broadening, texture or thermal motion is included.

Atomic structure:
Cell: 6.075 6.075 6.075 Å, 61.55 61.55 61.55°
Element x y z (fractional)
Li: 0.000 0.000 0.000
Li: 0.000 0.500 0.500
Li: 0.500 0.000 0.500
Li: 0.500 0.500 0.000
Mo: 0.000 0.000 0.500
Mo: 0.000 0.500 0.000
Mo: 0.500 0.000 0.000
O: 0.213 0.758 0.758
O: 0.242 0.242 0.787
O: 0.242 0.787 0.242
O: 0.250 0.250 0.250
O: 0.750 0.750 0.750
O: 0.758 0.213 0.758
O: 0.758 0.758 0.213
O: 0.787 0.242 0.242

Principal peaks in the range 2θ = 15–90°, most intense first:
- 2θ = 18.10°, rel. 100
- 2θ = 41.58°, rel. 80
- 2θ = 33.85°, rel. 55
- 2θ = 17.54°, rel. 48
- 2θ = 20.45°, rel. 27
- 2θ = 59.48°, rel. 24
- 2θ = 35.51°, rel. 23
- 2θ = 61.05°, rel. 22
- 2θ = 45.69°, rel. 20
- 2θ = 62.71°, rel. 19

Record 4
# Li4Mo5O17
Simulated X-ray diffraction stick pattern, Cu Ka. Input: DFT lattice parameters and positions (PBE+U).
No peak broadening, texture or thermal motion is included.

Atomic structure:
Cell: 6.905 9.643 11.081 Å, 73.05 88.54 69.64°
Element x y z (fractional)
Li: 0.032 0.215 0.066
Li: 0.193 0.596 0.312
Li: 0.200 0.716 0.565
Li: 0.255 0.051 0.361
Li: 0.745 0.949 0.639
Li: 0.800 0.284 0.435
Li: 0.807 0.404 0.688
Li: 0.968 0.785 0.934
Mo: 0.153 0.057 0.664
Mo: 0.261 0.456 0.853
Mo: 0.362 0.879 0.024
Mo: 0.384 0.307 0.612
Mo: 0.480 0.290 0.203
Mo: 0.520 0.710 0.797
Mo: 0.616 0.693 0.388
Mo: 0.638 0.121 0.976
Mo: 0.739 0.544 0.147
Mo: 0.847 0.943 0.336
O: 0.046 0.411 0.904
O: 0.050 0.003 0.271
O: 0.085 0.119 0.497
O: 0.098 0.245 0.692
O: 0.137 0.839 0.058
O: 0.211 0.648 0.864
O: 0.232 0.498 0.674
O: 0.248 0.401 0.462
O: 0.255 0.247 0.237
O: 0.310 0.069 0.036
O: 0.341 0.918 0.842
O: 0.342 0.829 0.650
O: 0.369 0.676 0.414
O: 0.415 0.484 0.210
O: 0.447 0.336 0.012
O: 0.452 0.098 0.627
O: 0.459 0.248 0.823
O: 0.541 0.752 0.177
O: 0.548 0.902 0.373
O: 0.553 0.664 0.988
O: 0.585 0.516 0.790
O: 0.631 0.324 0.586
O: 0.658 0.171 0.350
O: 0.659 0.082 0.158
O: 0.690 0.931 0.964
O: 0.745 0.753 0.763
O: 0.752 0.599 0.538
O: 0.768 0.502 0.326
O: 0.789 0.352 0.136
O: 0.863 0.161 0.942
O: 0.902 0.755 0.308
O: 0.915 0.881 0.503
O: 0.950 0.997 0.729
O: 0.954 0.589 0.096

Principal peaks in the range 2θ = 15–90°, most intense first:
- 2θ = 24.26°, rel. 100
- 2θ = 15.48°, rel. 89
- 2θ = 20.30°, rel. 73
- 2θ = 28.04°, rel. 72
- 2θ = 28.85°, rel. 54
- 2θ = 40.14°, rel. 52
- 2θ = 19.92°, rel. 47
- 2θ = 23.25°, rel. 45
- 2θ = 29.33°, rel. 43
- 2θ = 46.35°, rel. 40

Record 5
# LiMo2P3O12
Simulated X-ray diffraction stick pattern, Cu Ka. Input: DFT lattice parameters and positions (PBE+U).
No peak broadening, texture or thermal motion is included.

Atomic structure:
Cell: 4.900 4.900 20.318 Å, 92.31 92.31 66.53°
Element x y z (fractional)
Li: 0.000 0.000 0.162
Li: 0.000 0.000 0.838
Mo: 0.000 0.000 0.000
Mo: 0.000 0.000 0.500
Mo: 0.012 0.012 0.668
Mo: 0.988 0.988 0.332
P: 0.329 0.329 0.254
P: 0.340 0.340 0.921
P: 0.355 0.355 0.583
P: 0.645 0.645 0.417
P: 0.660 0.660 0.079
P: 0.671 0.671 0.746
O: 0.210 0.677 0.263
O: 0.218 0.690 0.930
O: 0.223 0.223 0.318
O: 0.228 0.707 0.584
O: 0.230 0.230 0.191
O: 0.232 0.232 0.984
O: 0.239 0.239 0.859
O: 0.254 0.254 0.644
O: 0.255 0.255 0.518
O: 0.293 0.772 0.416
O: 0.310 0.782 0.070
O: 0.323 0.790 0.737
O: 0.677 0.210 0.263
O: 0.690 0.218 0.930
O: 0.707 0.228 0.584
O: 0.745 0.745 0.482
O: 0.746 0.746 0.356
O: 0.761 0.761 0.141
O: 0.768 0.768 0.016
O: 0.770 0.770 0.809
O: 0.772 0.293 0.416
O: 0.777 0.777 0.682
O: 0.782 0.310 0.070
O: 0.790 0.323 0.737

Principal peaks in the range 2θ = 15–90°, most intense first:
- 2θ = 24.07°, rel. 100
- 2θ = 19.76°, rel. 76
- 2θ = 33.58°, rel. 73
- 2θ = 32.72°, rel. 68
- 2θ = 24.88°, rel. 59
- 2θ = 36.95°, rel. 53
- 2θ = 33.34°, rel. 41
- 2θ = 42.98°, rel. 32
- 2θ = 21.72°, rel. 30
- 2θ = 54.25°, rel. 29